The following is a theoretical powder X-ray diffraction pattern of TbPu4N5. It was derived from a DFT-relaxed cell (GGA-PBE, Alexandria), using Cu Kα.
Peak positions follow from Bragg's law for the DFT cell and can differ from measured ones.

Largest 8 diffraction maxima, low angle first, 2θ from 10° to 90°:
- 31.5 deg, I 100.0
- 36.5 deg, I 43.8
- 36.7 deg, I 21.7
- 52.7 deg, I 38.5
- 62.6 deg, I 30.6
- 62.8 deg, I 15.2
- 65.8 deg, I 15.8
- 86.3 deg, I 13.3

```
data_TbPu4N5
_cell_length_a 3.4853
_cell_length_b 4.9017
_cell_length_c 17.3930
_cell_angle_alpha 90.00
_cell_angle_beta 90.00
_cell_angle_gamma 90.00
_space_group_name_H-M_alt 'I m m m'
_space_group_IT_number 71
_space_group_name_Hall '-I 2 2'
loop_
_atom_site_label
_atom_site_fract_x
_atom_site_fract_y
_atom_site_fract_z
Tb1 0.0000 0.0000 0.0000
Pu1 0.0000 0.0000 0.2005
Pu2 0.0000 0.0000 0.4011
N1 0.0000 0.5000 0.0000
N2 0.0000 0.5000 0.2020
N3 0.0000 0.5000 0.3976
```